Entry 1:
# Pm2H5Rh2
Calculated X-ray diffraction stick pattern, Cu Kα (weighted mean of Kα1 and Kα2). Input: the GGA-PBE geometry in Alexandria.
Neutral-atom scattering factors, no anomalous dispersion.

Structure:
Cell lengths 5.201, 14.885, 5.210 Å; angles 90.00, 90.00, 90.00 degrees
Space group Imma (No. 74)
Asymmetric unit:
Pm 0.000 0.130 0.000 [8 per cell]
H 0.000 0.127 0.488 [8 per cell]
H 0.250 0.002 0.250 [8 per cell]
H 0.250 0.250 0.750 [4 per cell]
Rh 0.000 0.000 0.500 [4 per cell]
Rh 0.000 0.250 0.476 [4 per cell]

Top 12 peaks for 2θ = 15–90°, by angle:
- d 3.681, 24.18 deg, I = 3, (1 0 1)
- d 2.617, 34.27 deg, I = 100, (1 4 1)
- d 2.603, 34.46 deg, I = 50, (2 0 0)
- d 1.861, 48.95 deg, I = 9, (0 8 0)
- d 1.840, 49.53 deg, I = 18, (2 0 2)
- d 1.514, 61.24 deg, I = 18, (2 8 0)
- d 1.505, 61.61 deg, I = 36, (3 4 1)
- d 1.308, 72.20 deg, I = 11, (2 8 2)
- d 1.300, 72.73 deg, I = 3, (4 0 0)
- d 1.175, 81.97 deg, I = 8, (1 12 1)
- d 1.165, 82.86 deg, I = 11, (3 4 3)
- d 1.163, 83.00 deg, I = 4, (4 0 2)

Entry 2:
# LiUAsSe
Calculated X-ray diffraction stick pattern, Cu Kα (weighted mean of Kα1 and Kα2). Input: the GGA-PBE geometry in Alexandria.
Neutral-atom scattering factors, no anomalous dispersion.

Structure:
Cell lengths 4.0803, 4.0803, 19.4848 Å; angles 90.00, 90.00, 120.00 degrees
Space group R3m (No. 160, hexagonal axes)
Asymmetric unit:
Li 0.0000 0.0000 0.0000 [3 per cell]
U 0.0000 0.0000 0.5152 [3 per cell]
As 0.0000 0.0000 0.2618 [3 per cell]
Se 0.0000 0.0000 0.7637 [3 per cell]

Top 12 peaks for 2θ = 15–90°, by angle:
- d 3.477, 25.62 deg, I = 53, (1 0 1)
- d 2.860, 31.27 deg, I = 100, (1 0 4)
- d 2.618, 34.26 deg, I = 25, (0 1 5)
- d 2.187, 41.29 deg, I = 17, (1 0 7)
- d 2.040, 44.40 deg, I = 38, (1 1 0)
- d 2.005, 45.22 deg, I = 36, (0 1 8)
- d 1.946, 46.67 deg, I = 23, (1 1 3)
- d 1.661, 55.31 deg, I = 20, (0 2 4)
- d 1.430, 65.24 deg, I = 12, (2 0 8)
- d 1.288, 73.53 deg, I = 18, (2 1 4)
- d 1.270, 74.72 deg, I = 17, (1 1 12)
- d 1.171, 82.34 deg, I = 13, (1 2 8)